Computed XRD peak list of Ce4FeI5 for CuKα, from the GGA-PBE geometry in Alexandria.
Intensities are scaled so that the largest is 100.

Most intense lines, 2θ from 10° to 90°, by angle:
2theta, intensity
28.36, 10.9
28.50, 100.0
28.78, 34.3
31.80, 21.3
39.42, 17.7
40.80, 24.7
41.09, 24.2
42.03, 18.3
51.73, 16.0
58.98, 10.7

Atomic structure:
Unit cell a=19.124 b=4.299 c=9.145 alpha=90.00 beta=103.26 gamma=90.00
Space group C2/m (No. 12)
One atom of each set of equivalent atoms:
Ce: 0.001 0.000 0.290 (multiplicity 4)
Ce: 0.131 0.500 0.566 (multiplicity 4)
Fe: 0.000 0.500 0.500 (multiplicity 2)
I: 0.000 0.500 0.000 (multiplicity 2)
I: 0.169 0.000 0.838 (multiplicity 4)
I: 0.175 0.000 0.331 (multiplicity 4)